(1)
Sc2Mn2Ge2C: calculated powder XRD pattern (Cu Kα, 1.54184 Å), based on a crystal structure in Alexandria, relaxed with GGA-PBE.

```
data_Sc2Mn2Ge2C
_cell_length_a 3.8567
_cell_length_b 3.8567
_cell_length_c 13.7526
_cell_angle_alpha 90.00
_cell_angle_beta 90.00
_cell_angle_gamma 90.00
_symmetry_space_group_name_H-M 'I 4/m m m'
_symmetry_Int_Tables_number 139
_symmetry_space_group_name_Hall '-I 4 2'
loop_
_atom_site_label
_atom_site_type_symbol
_atom_site_fract_x
_atom_site_fract_y
_atom_site_fract_z
Sc1 Sc 0.0000 0.0000 0.1673
Mn1 Mn 0.0000 0.5000 0.0000
Ge1 Ge 0.0000 0.0000 0.3748
C1 C 0.0000 0.0000 0.0000
```

Peak list (12 most intense, 5 to 70 degrees two-theta, low angle first)
h k l  2theta  I_rel
0 0 2  12.87  37
1 0 1  23.96  12
1 1 0  32.84  23
1 1 2  35.41  41
0 0 6  39.31  16
1 0 5  40.27  35
1 1 4  42.30  100
2 0 0  47.13  53
2 0 6  62.99  14
2 1 5  63.68  16
1 0 9  65.73  10
2 2 0  68.86  16

(2)
U2Mn4Ge2C: calculated powder XRD pattern (Cu Kα, 1.54184 Å), based on a crystal structure in Alexandria, relaxed with GGA-PBE.

```
data_U2Mn4Ge2C
_cell_length_a 5.7578
_cell_length_b 5.7578
_cell_length_c 7.6128
_cell_angle_alpha 90.00
_cell_angle_beta 90.00
_cell_angle_gamma 90.00
_symmetry_space_group_name_H-M 'I 4/m m m'
_symmetry_Int_Tables_number 139
_symmetry_space_group_name_Hall '-I 4 2'
loop_
_atom_site_label
_atom_site_type_symbol
_atom_site_fract_x
_atom_site_fract_y
_atom_site_fract_z
U1 U 0.0000 0.0000 0.2109
Mn1 Mn 0.2486 0.2486 0.5000
Ge1 Ge 0.0000 0.5000 0.2500
C1 C 0.0000 0.0000 0.5000
```

Peak list (12 most intense, 5 to 70 degrees two-theta, low angle first)
h k l  2theta  I_rel
1 0 1  19.33  9
1 1 0  21.83  37
0 0 2  23.37  15
2 0 0  31.07  24
1 1 2  32.19  16
1 0 3  38.78  18
2 0 2  39.24  100
2 2 0  44.51  42
0 0 4  47.79  10
2 1 3  50.50  16
4 0 0  64.77  14
2 2 4  67.36  13

(3)
Nb4Ge2C: calculated powder XRD pattern (Cu Kα, 1.54184 Å), based on a crystal structure in Alexandria, relaxed with GGA-PBE.

```
data_Nb4Ge2C
_cell_length_a 6.9707
_cell_length_b 9.9059
_cell_length_c 3.2805
_cell_angle_alpha 90.00
_cell_angle_beta 90.00
_cell_angle_gamma 90.00
_symmetry_space_group_name_H-M 'P b a m'
_symmetry_Int_Tables_number 55
_symmetry_space_group_name_Hall '-P 2 2ab'
loop_
_atom_site_label
_atom_site_type_symbol
_atom_site_fract_x
_atom_site_fract_y
_atom_site_fract_z
Nb1 Nb 0.1341 0.1991 0.0000
Nb2 Nb 0.1853 0.9255 0.5000
Ge1 Ge 0.0704 0.6414 0.5000
C1 C 0.0000 0.0000 0.0000
```

Peak list (12 most intense, 5 to 70 degrees two-theta, low angle first)
h k l  2theta  I_rel
0 2 1  32.74  36
1 2 1  35.25  31
2 3 0  37.52  44
1 4 0  38.58  50
2 1 1  38.78  100
3 1 0  39.85  21
1 3 1  40.88  40
3 2 0  43.00  23
0 4 1  45.91  19
0 0 2  56.07  22
3 5 1  68.50  13
2 3 2  69.43  14

(4)
Nb2GeC: calculated powder XRD pattern (Cu Kα, 1.54184 Å), based on a crystal structure in Alexandria, relaxed with GGA-PBE.

```
data_Nb2GeC
_cell_length_a 3.2491
_cell_length_b 3.2491
_cell_length_c 12.7827
_cell_angle_alpha 90.00
_cell_angle_beta 90.00
_cell_angle_gamma 120.00
_symmetry_space_group_name_H-M 'P 63/m m c'
_symmetry_Int_Tables_number 194
_symmetry_space_group_name_Hall '-P 6c 2c'
loop_
_atom_site_label
_atom_site_type_symbol
_atom_site_fract_x
_atom_site_fract_y
_atom_site_fract_z
Nb1 Nb 0.3333 0.6667 0.0923
Ge1 Ge 0.3333 0.6667 0.7500
C1 C 0.0000 0.0000 0.0000
```

Peak list (12 most intense, 5 to 70 degrees two-theta, low angle first)
h k l  2theta  I_rel
0 0 2  13.86  1
0 0 4  27.92  1
1 0 0  31.80  24
1 0 1  32.58  2
1 0 3  38.33  100
0 0 6  42.43  14
1 0 4  42.82  2
1 0 6  53.99  13
1 1 0  56.66  23
1 0 7  60.43  2
1 1 4  64.33  1
2 0 0  66.45  3

(5)
Nb8GeC2: calculated powder XRD pattern (Cu Kα, 1.54184 Å), based on a crystal structure in Alexandria, relaxed with GGA-PBE.

```
data_Nb8GeC2
_cell_length_a 7.1777
_cell_length_b 10.4576
_cell_length_c 4.7198
_cell_angle_alpha 90.00
_cell_angle_beta 102.70
_cell_angle_gamma 90.00
_symmetry_space_group_name_H-M 'C 1 2/m 1'
_symmetry_Int_Tables_number 12
_symmetry_space_group_name_Hall '-C 2y'
loop_
_atom_site_label
_atom_site_type_symbol
_atom_site_fract_x
_atom_site_fract_y
_atom_site_fract_z
Nb1 Nb 0.0000 0.2449 0.0000
Nb2 Nb 0.1121 0.0000 0.7873
Nb3 Nb 0.2038 0.3669 0.6067
Ge1 Ge 0.0000 0.5000 0.0000
C1 C 0.0000 0.1845 0.5000
```

Peak list (12 most intense, 5 to 70 degrees two-theta, low angle first)
h k l  2theta  I_rel
1 3 -1  33.06  62
2 2 -1  33.29  30
2 0 1  35.46  100
1 1 -2  39.37  56
0 4 1  39.64  81
3 1 -1  40.23  56
0 2 2  42.92  16
2 4 0  43.19  63
3 3 0  46.84  27
1 3 2  51.60  24
2 4 2  63.89  18
4 4 -2  69.90  19

(6)
Pu2Nb2Ge2C: calculated powder XRD pattern (Cu Kα, 1.54184 Å), based on a crystal structure in Alexandria, relaxed with GGA-PBE.

```
data_Pu2Nb2Ge2C
_cell_length_a 4.2837
_cell_length_b 4.2837
_cell_length_c 15.1884
_cell_angle_alpha 90.00
_cell_angle_beta 90.00
_cell_angle_gamma 90.00
_symmetry_space_group_name_H-M 'I 4/m m m'
_symmetry_Int_Tables_number 139
_symmetry_space_group_name_Hall '-I 4 2'
loop_
_atom_site_label
_atom_site_type_symbol
_atom_site_fract_x
_atom_site_fract_y
_atom_site_fract_z
Pu1 Pu 0.0000 0.0000 0.1685
Nb1 Nb 0.0000 0.5000 0.0000
Ge1 Ge 0.0000 0.0000 0.3752
C1 C 0.0000 0.0000 0.0000
```

Peak list (12 most intense, 5 to 70 degrees two-theta, low angle first)
h k l  2theta  I_rel
1 0 3  27.27  95
1 1 0  29.49  62
1 1 2  31.81  96
0 0 6  35.46  45
1 0 5  36.25  53
1 1 4  38.00  100
2 0 0  42.19  84
2 1 3  50.97  37
2 0 6  56.26  48
2 1 5  56.82  29
1 0 9  58.81  31
2 2 0  61.20  28

(7)
Y2Nb2Ge2C: calculated powder XRD pattern (Cu Kα, 1.54184 Å), based on a crystal structure in Alexandria, relaxed with GGA-PBE.

```
data_Y2Nb2Ge2C
_cell_length_a 4.2718
_cell_length_b 4.2718
_cell_length_c 15.1153
_cell_angle_alpha 90.00
_cell_angle_beta 90.00
_cell_angle_gamma 90.00
_symmetry_space_group_name_H-M 'I 4/m m m'
_symmetry_Int_Tables_number 139
_symmetry_space_group_name_Hall '-I 4 2'
loop_
_atom_site_label
_atom_site_type_symbol
_atom_site_fract_x
_atom_site_fract_y
_atom_site_fract_z
Y1 Y 0.0000 0.0000 0.1663
Nb1 Nb 0.0000 0.5000 0.0000
Ge1 Ge 0.0000 0.0000 0.3712
C1 C 0.0000 0.0000 0.0000
```

Peak list (12 most intense, 5 to 70 degrees two-theta, low angle first)
h k l  2theta  I_rel
0 0 2  11.71  29
1 1 0  29.57  13
1 1 2  31.91  71
0 0 6  35.64  28
1 0 5  36.41  24
1 1 4  38.14  100
2 0 0  42.32  59
2 0 6  56.48  28
2 1 5  57.03  12
1 0 9  59.11  10
2 2 0  61.39  19
1 1 10  69.55  11

(8)
NdGeC: calculated powder XRD pattern (Cu Kα, 1.54184 Å), based on a crystal structure in Alexandria, relaxed with GGA-PBE.

```
data_NdGeC
_cell_length_a 3.8191
_cell_length_b 3.8191
_cell_length_c 20.8683
_cell_angle_alpha 90.00
_cell_angle_beta 90.00
_cell_angle_gamma 90.00
_symmetry_space_group_name_H-M 'I 4/m m m'
_symmetry_Int_Tables_number 139
_symmetry_space_group_name_Hall '-I 4 2'
loop_
_atom_site_label
_atom_site_type_symbol
_atom_site_fract_x
_atom_site_fract_y
_atom_site_fract_z
Nd1 Nd 0.0000 0.0000 0.1886
Ge1 Ge 0.0000 0.0000 0.3994
C1 C 0.0000 0.0000 0.3084
```

Peak list (12 most intense, 5 to 70 degrees two-theta, low angle first)
h k l  2theta  I_rel
0 0 2  8.47  100
1 0 3  26.63  35
1 0 5  31.76  93
1 1 0  33.17  55
0 0 8  34.33  23
1 0 9  45.78  10
2 0 0  47.62  20
1 1 8  48.50  17
2 1 3  55.39  10
1 1 10  55.66  17
2 1 5  58.38  33
2 0 10  66.35  10

(9)
Nd15Ge9C: calculated powder XRD pattern (Cu Kα, 1.54184 Å), based on a crystal structure in Alexandria, relaxed with GGA-PBE.

```
data_Nd15Ge9C
_cell_length_a 15.2472
_cell_length_b 15.2472
_cell_length_c 6.8406
_cell_angle_alpha 90.00
_cell_angle_beta 90.00
_cell_angle_gamma 120.00
_symmetry_space_group_name_H-M 'P 63 m c'
_symmetry_Int_Tables_number 186
_symmetry_space_group_name_Hall 'P 6c -2c'
loop_
_atom_site_label
_atom_site_type_symbol
_atom_site_fract_x
_atom_site_fract_y
_atom_site_fract_z
Nd1 Nd 0.0207 0.3436 0.0000
Nd2 Nd 0.0808 0.1616 0.7248
Nd3 Nd 0.1748 0.5874 0.7254
Nd4 Nd 0.2546 0.5093 0.2885
Ge1 Ge 0.0655 0.5327 0.2676
Ge2 Ge 0.1322 0.2643 0.2793
Ge3 Ge 0.1983 0.3967 0.7069
C1 C 0.3333 0.6667 0.5037
```

Peak list (12 most intense, 5 to 70 degrees two-theta, low angle first)
h k l  2theta  I_rel
0 0 2  26.05  11
1 1 2  28.60  30
4 1 0  31.04  37
3 0 2  33.17  78
4 1 1  33.75  100
3 3 0  35.31  34
6 0 2  49.23  17
4 1 3  51.08  23
7 1 1  54.12  11
4 4 2  55.19  28
9 0 1  65.01  11
5 5 2  67.23  12

(10)
PmNd3Ge2C: calculated powder XRD pattern (Cu Kα, 1.54184 Å), based on a crystal structure in Alexandria, relaxed with GGA-PBE.

```
data_PmNd3Ge2C
_cell_length_a 4.8760
_cell_length_b 4.9000
_cell_length_c 15.8037
_cell_angle_alpha 90.00
_cell_angle_beta 90.00
_cell_angle_gamma 90.00
_symmetry_space_group_name_H-M 'I m m m'
_symmetry_Int_Tables_number 71
_symmetry_space_group_name_Hall '-I 2 2'
loop_
_atom_site_label
_atom_site_type_symbol
_atom_site_fract_x
_atom_site_fract_y
_atom_site_fract_z
Pm1 Pm 0.0000 0.0000 0.0000
Nd1 Nd 0.0000 0.0000 0.5000
Nd2 Nd 0.0000 0.5000 0.3296
Ge1 Ge 0.0000 0.5000 0.1355
C1 C 0.0000 0.5000 0.5000
```

Peak list (12 most intense, 5 to 70 degrees two-theta, low angle first)
h k l  2theta  I_rel
0 0 2  11.20  17
1 1 2  28.18  100
0 1 5  33.77  19
0 0 6  34.04  31
1 1 4  34.48  85
0 2 0  36.68  33
2 0 0  36.87  32
0 2 6  50.89  25
2 0 6  51.05  19
2 2 0  52.99  23
2 2 6  64.49  20
3 1 4  64.88  23

(11)
Pa5Ge2C2: calculated powder XRD pattern (Cu Kα, 1.54184 Å), based on a crystal structure in Alexandria, relaxed with GGA-PBE.

```
data_Pa5Ge2C2
_cell_length_a 14.9953
_cell_length_b 5.0082
_cell_length_c 5.0075
_cell_angle_alpha 90.00
_cell_angle_beta 100.27
_cell_angle_gamma 90.00
_symmetry_space_group_name_H-M 'C 1 2/m 1'
_symmetry_Int_Tables_number 12
_symmetry_space_group_name_Hall '-C 2y'
loop_
_atom_site_label
_atom_site_type_symbol
_atom_site_fract_x
_atom_site_fract_y
_atom_site_fract_z
Pa1 Pa 0.0000 0.0000 0.0000
Pa2 Pa 0.1639 0.0000 0.4772
Pa3 Pa 0.1699 0.5000 0.9473
Ge1 Ge 0.0555 0.5000 0.3516
C1 C 0.1615 0.0000 0.9654
```

Peak list (12 most intense, 5 to 70 degrees two-theta, low angle first)
h k l  2theta  I_rel
3 1 -1  29.31  92
3 1 1  33.17  100
0 2 0  35.86  45
6 0 0  36.51  54
5 1 -1  37.22  13
6 2 0  52.11  40
9 1 -1  59.04  20
3 3 -1  60.47  13
6 2 -2  60.77  16
3 3 1  62.75  17
9 1 1  65.83  17
6 2 2  69.64  12

(12)
Pa4GeC: calculated powder XRD pattern (Cu Kα, 1.54184 Å), based on a crystal structure in Alexandria, relaxed with GGA-PBE.

```
data_Pa4GeC
_cell_length_a 7.1687
_cell_length_b 5.6346
_cell_length_c 6.9066
_cell_angle_alpha 90.00
_cell_angle_beta 90.00
_cell_angle_gamma 90.00
_symmetry_space_group_name_H-M 'P n c 2'
_symmetry_Int_Tables_number 30
_symmetry_space_group_name_Hall 'P 2 -2bc'
loop_
_atom_site_label
_atom_site_type_symbol
_atom_site_fract_x
_atom_site_fract_y
_atom_site_fract_z
Pa1 Pa 0.1533 0.2439 0.0000
Pa2 Pa 0.2424 0.7024 0.7869
Ge1 Ge 0.5000 0.0000 0.5858
C1 C 0.0000 0.0000 0.7515
```

Peak list (12 most intense, 5 to 70 degrees two-theta, low angle first)
h k l  2theta  I_rel
1 0 0  12.35  19
2 0 0  24.84  22
2 1 0  29.54  16
0 2 0  31.76  24
1 1 2  32.89  100
2 0 2  36.12  9
2 1 2  39.61  21
2 2 0  40.74  17
3 1 0  41.03  13
1 3 2  57.29  19
2 3 2  61.90  10
4 2 2  67.64  12